Starting from a DFT-relaxed cell (GGA-PBE, the Materials Project), the X-ray diffraction stick pattern of EuCu4Sn2 was calculated for Cu Kα X-rays.
Neutral-atom scattering factors, no anomalous dispersion.

```
data_EuCu4Sn2
_chemical_formula_sum 'Eu4 Cu16 Sn8'
_cell_length_a 9.4831
_cell_length_b 9.4831
_cell_length_c 9.4424
_cell_angle_alpha 90.00
_cell_angle_beta 90.00
_cell_angle_gamma 90.00
_space_group_name_H-M_alt 'I 4/m c m'
_space_group_IT_number 140
_space_group_name_Hall '-I 4 2c'
loop_
_atom_site_label
_atom_site_type_symbol
_atom_site_fract_x
_atom_site_fract_y
_atom_site_fract_z
Eu1 Eu 0.0000 0.0000 0.2500
Cu1 Cu 0.1367 0.3633 0.1615
Sn1 Sn 0.1614 0.3386 0.5000
```

Peak list (10 most intense, 2θ = 10–90°, in order of falling intensity)
d_spacing  2θ/deg  Rel. int.  h k l
2.528  35.5  100  2 1 3
2.999  29.8  90  3 1 0
3.347  26.6  51  2 0 2
3.863  23.0  35  1 1 2
1.537  60.2  27  5 2 3
2.019  44.9  24  3 3 2
2.120  42.7  18  4 2 0
2.235  40.4  16  3 3 0
1.858  49.0  16  4 1 3
1.287  73.6  14  3 3 6


Starting from a DFT-relaxed cell (GGA-PBE, the Materials Project), the X-ray diffraction stick pattern of NbSe2 was calculated for Cu Kα X-rays.
Neutral-atom scattering factors, no anomalous dispersion.

```
data_NbSe2
_chemical_formula_sum 'Nb1 Se2'
_cell_length_a 3.4875
_cell_length_b 3.4875
_cell_length_c 6.7386
_cell_angle_alpha 90.00
_cell_angle_beta 90.00
_cell_angle_gamma 120.00
_space_group_name_H-M_alt 'P -3 m 1'
_space_group_IT_number 164
_space_group_name_Hall '-P 3 2"'
loop_
_atom_site_label
_atom_site_type_symbol
_atom_site_fract_x
_atom_site_fract_y
_atom_site_fract_z
Nb1 Nb 0.0000 0.0000 0.0000
Se1 Se 0.3333 0.6667 0.2495
```

Peak list (10 most intense, 2θ = 10–90°, in order of falling intensity)
d_spacing  2θ/deg  Rel. int.  h k l
2.756  32.5  100  0 1 1
2.249  40.1  64  0 1 2
6.739  13.1  50  0 0 1
1.744  52.5  29  1 1 0
1.802  50.6  28  1 0 3
1.212  79.0  17  1 1 4
1.378  68.0  16  2 0 2
1.474  63.1  14  2 0 1
1.126  86.5  12  1 2 1
1.685  54.5  9  0 0 4